Entry 1:
Structure and calculated powder diffraction line list of Hf2CICl (DFT lattice parameters and positions (GGA-PBE); λ = 1.5418 Å (Cu Kα)).

Top 12 peaks for 10° ≤ 2θ ≤ 80°, by angle:
hkl 1 0 0, 3.035 Å, 2θ = 29.4°, rel. 300; hkl 0 1 1, 2.906 Å, 2θ = 30.8°, rel. 131; hkl 1 0 2, 2.600 Å, 2θ = 34.5°, rel. 1000; hkl 0 0 4, 2.520 Å, 2θ = 35.6°, rel. 117; hkl 1 0 3, 2.252 Å, 2θ = 40.0°, rel. 382; hkl 0 1 4, 1.939 Å, 2θ = 46.9°, rel. 106; hkl 1 1 0, 1.752 Å, 2θ = 52.2°, rel. 248; hkl 0 1 5, 1.679 Å, 2θ = 54.7°, rel. 96; hkl 0 2 2, 1.453 Å, 2θ = 64.1°, rel. 166; hkl 1 1 4, 1.439 Å, 2θ = 64.8°, rel. 132; hkl 1 1 5, 1.323 Å, 2θ = 71.3°, rel. 142; hkl 1 0 7, 1.301 Å, 2θ = 72.7°, rel. 146

Atomic structure:
```
data_Hf2CICl
_cell_length_a 3.5045
_cell_length_b 3.5045
_cell_length_c 10.0812
_cell_angle_alpha 90.00
_cell_angle_beta 90.00
_cell_angle_gamma 120.00
_space_group_name_H-M_alt 'P 3 m 1'
_space_group_IT_number 156
loop_
_space_group_symop_operation_xyz
'x,y,z'
'-y,x-y,z'
'-x+y,-x,z'
'-y,-x,z'
'-x+y,y,z'
'x,x-y,z'
loop_
_atom_site_label
_atom_site_fract_x
_atom_site_fract_y
_atom_site_fract_z
Hf1 0.0000 0.0000 0.0000
Hf2 0.3333 0.6667 0.2263
C1 0.6667 0.3333 0.1112
I1 0.0000 0.0000 0.4391
Cl1 0.3333 0.6667 0.8254
```

=====

Entry 2:
Structure and calculated powder diffraction line list of Li2Zn (DFT lattice parameters and positions (GGA-PBE); λ = 1.5418 Å (Cu Kα)).

Top 12 peaks for 10° ≤ 2θ ≤ 80°, by angle:
hkl 1 0 0, 3.790 Å, 2θ = 23.5°, rel. 1000; hkl 0 0 1, 2.547 Å, 2θ = 35.2°, rel. 100; hkl 1 1 0, 2.188 Å, 2θ = 41.3°, rel. 341; hkl 1 0 1, 2.114 Å, 2θ = 42.8°, rel. 539; hkl 2 0 0, 1.895 Å, 2θ = 48.0°, rel. 142; hkl 1 1 1, 1.660 Å, 2θ = 55.3°, rel. 154; hkl 2 0 1, 1.520 Å, 2θ = 60.9°, rel. 179; hkl 2 1 0, 1.433 Å, 2θ = 65.1°, rel. 107; hkl 0 0 2, 1.274 Å, 2θ = 74.5°, rel. 18; hkl 3 0 0, 1.263 Å, 2θ = 75.2°, rel. 52; hkl 2 1 1, 1.249 Å, 2θ = 76.3°, rel. 176; hkl 1 0 2, 1.207 Å, 2θ = 79.4°, rel. 59

Atomic structure:
```
data_Li2Zn
_cell_length_a 4.3766
_cell_length_b 4.3766
_cell_length_c 2.5473
_cell_angle_alpha 90.00
_cell_angle_beta 90.00
_cell_angle_gamma 120.00
_space_group_name_H-M_alt 'P 6/m m m'
_space_group_IT_number 191
_space_group_name_Hall '-P 6 2'
loop_
_atom_site_label
_atom_site_fract_x
_atom_site_fract_y
_atom_site_fract_z
Li1 0.3333 0.6667 0.0000
Zn1 0.0000 0.0000 0.5000
```

=====

Entry 3:
Structure and calculated powder diffraction line list of Dy2YAl3Ge2Au (DFT lattice parameters and positions (GGA-PBE); λ = 1.5418 Å (Cu Kα)).

Top 12 peaks for 10° ≤ 2θ ≤ 80°, by angle:
hkl 1 0 0, 4.269 Å, 2θ = 20.8°, rel. 284; hkl 0 3 1, 3.529 Å, 2θ = 25.2°, rel. 272; hkl 1 1 1, 3.499 Å, 2θ = 25.5°, rel. 187; hkl 0 2 2, 3.056 Å, 2θ = 29.2°, rel. 362; hkl 1 0 2, 2.720 Å, 2θ = 32.9°, rel. 429; hkl 1 2 2, 2.485 Å, 2θ = 36.1°, rel. 1000; hkl 0 5 1, 2.310 Å, 2θ = 39.0°, rel. 164; hkl 2 0 0, 2.134 Å, 2θ = 42.3°, rel. 233; hkl 0 3 3, 2.037 Å, 2θ = 44.5°, rel. 230; hkl 1 5 1, 2.032 Å, 2θ = 44.6°, rel. 300; hkl 1 7 1, 1.575 Å, 2θ = 58.6°, rel. 173; hkl 1 7 3, 1.332 Å, 2θ = 70.7°, rel. 219

Atomic structure:
```
data_Dy2YAl3Ge2Au
_cell_length_a 4.2686
_cell_length_b 12.2295
_cell_length_c 7.0539
_cell_angle_alpha 90.00
_cell_angle_beta 90.00
_cell_angle_gamma 90.00
_space_group_name_H-M_alt 'A m m 2'
_space_group_IT_number 38
loop_
_space_group_symop_operation_xyz
'x,y,z'
'-x,-y,z'
'-x,y,z'
'x,-y,z'
'x,y+1/2,z+1/2'
'-x,-y+1/2,z+1/2'
'-x,y+1/2,z+1/2'
'x,-y+1/2,z+1/2'
loop_
_atom_site_label
_atom_site_fract_x
_atom_site_fract_y
_atom_site_fract_z
Dy1 0.0000 0.2073 0.0000
Y1 0.0000 0.0000 0.3782
Al1 0.5000 0.0000 0.0308
Al2 0.5000 0.1190 0.6740
Ge1 0.5000 0.1670 0.2927
Au1 0.0000 0.0000 0.7940
```

=====

Entry 4:
Structure and calculated powder diffraction line list of Ni9Sb2 (DFT lattice parameters and positions (GGA-PBE); λ = 1.5418 Å (Cu Kα)).

Top 12 peaks for 10° ≤ 2θ ≤ 80°, by angle:
hkl 0 0 5, 6.178 Å, 2θ = 14.3°, rel. 274; hkl 1 0 2, 2.388 Å, 2θ = 37.7°, rel. 108; hkl 1 0 3, 2.353 Å, 2θ = 38.3°, rel. 103; hkl 1 0 5, 2.251 Å, 2θ = 40.1°, rel. 1000; hkl 1 0 6, 2.188 Å, 2θ = 41.3°, rel. 825; hkl 0 1 9, 1.976 Å, 2θ = 45.9°, rel. 159; hkl 0 0 16, 1.931 Å, 2θ = 47.1°, rel. 223; hkl 0 1 10, 1.903 Å, 2θ = 47.8°, rel. 151; hkl 0 1 11, 1.832 Å, 2θ = 49.8°, rel. 725; hkl 0 0 17, 1.817 Å, 2θ = 50.2°, rel. 106; hkl 1 1 0, 1.395 Å, 2θ = 67.1°, rel. 347; hkl 1 0 22, 1.214 Å, 2θ = 78.8°, rel. 163

Atomic structure:
```
data_Ni9Sb2
_cell_length_a 2.7905
_cell_length_b 2.7905
_cell_length_c 30.8880
_cell_angle_alpha 90.00
_cell_angle_beta 90.00
_cell_angle_gamma 120.00
_space_group_name_H-M_alt 'P -3 m 1'
_space_group_IT_number 164
_space_group_name_Hall '-P 3 2"'
loop_
_atom_site_label
_atom_site_fract_x
_atom_site_fract_y
_atom_site_fract_z
Ni1 0.0000 0.0000 0.0000
Ni2 0.0000 0.0000 0.1800
Ni3 0.3333 0.6667 0.1200
Ni4 0.3333 0.6667 0.7587
Ni5 0.3333 0.6667 0.9399
Sb1 0.3333 0.6667 0.3089
```

=====

Entry 5:
Structure and calculated powder diffraction line list of Nb3ClO7 (DFT lattice parameters and positions (GGA-PBE); λ = 1.5418 Å (Cu Kα)).

Top 12 peaks for 10° ≤ 2θ ≤ 80°, by angle:
hkl 2 2 0, 4.497 Å, 2θ = 19.7°, rel. 943; hkl 1 0 1, 3.751 Å, 2θ = 23.7°, rel. 1000; hkl 4 1 0, 3.688 Å, 2θ = 24.1°, rel. 266; hkl 2 3 0, 3.317 Å, 2θ = 26.9°, rel. 378; hkl 4 2 0, 3.188 Å, 2θ = 28.0°, rel. 520; hkl 3 0 1, 3.105 Å, 2θ = 28.8°, rel. 173; hkl 0 4 0, 2.746 Å, 2θ = 32.6°, rel. 187; hkl 3 2 1, 2.703 Å, 2θ = 33.1°, rel. 666; hkl 0 0 2, 1.932 Å, 2θ = 47.0°, rel. 270; hkl 4 5 0, 1.916 Å, 2θ = 47.5°, rel. 243; hkl 7 3 1, 1.711 Å, 2θ = 53.5°, rel. 283; hkl 5 5 1, 1.631 Å, 2θ = 56.4°, rel. 189

Atomic structure:
```
data_Nb3ClO7
_cell_length_a 15.6598
_cell_length_b 10.9858
_cell_length_c 3.8631
_cell_angle_alpha 90.00
_cell_angle_beta 90.00
_cell_angle_gamma 90.00
_space_group_name_H-M_alt 'P n m a'
_space_group_IT_number 62
loop_
_space_group_symop_operation_xyz
'x,y,z'
'-x,-y,-z'
'-x+1/2,-y,z+1/2'
'x+1/2,y,-z+1/2'
'x+1/2,-y+1/2,-z+1/2'
'-x+1/2,y+1/2,z+1/2'
'-x,y+1/2,-z'
'x,-y+1/2,z'
loop_
_atom_site_label
_atom_site_fract_x
_atom_site_fract_y
_atom_site_fract_z
Nb1 0.0346 0.2500 0.0329
Nb2 0.1644 0.5403 0.0019
Cl1 0.2427 0.7500 0.9978
O1 0.0241 0.2500 0.5060
O2 0.0649 0.6254 0.0036
O3 0.1170 0.1164 0.9972
O4 0.2003 0.5341 0.5006
```

=====

Entry 6:
Structure and calculated powder diffraction line list of NaTm5 (DFT lattice parameters and positions (GGA-PBE); λ = 1.5418 Å (Cu Kα)).

Top 12 peaks for 10° ≤ 2θ ≤ 80°, by angle:
hkl 1 0 0, 5.640 Å, 2θ = 15.7°, rel. 690; hkl 0 0 2, 2.824 Å, 2θ = 31.7°, rel. 1000; hkl 2 0 0, 2.819 Å, 2θ = 31.7°, rel. 160; hkl 2 0 1, 2.524 Å, 2θ = 35.6°, rel. 940; hkl 2 1 0, 2.132 Å, 2θ = 42.4°, rel. 151; hkl 2 0 2, 1.997 Å, 2θ = 45.4°, rel. 121; hkl 3 0 1, 1.784 Å, 2θ = 51.2°, rel. 181; hkl 1 1 3, 1.632 Å, 2θ = 56.4°, rel. 136; hkl 2 2 0, 1.628 Å, 2θ = 56.5°, rel. 180; hkl 2 0 3, 1.567 Å, 2θ = 58.9°, rel. 196; hkl 2 2 2, 1.411 Å, 2θ = 66.2°, rel. 224; hkl 4 0 1, 1.368 Å, 2θ = 68.6°, rel. 168

Atomic structure:
```
data_NaTm5
_cell_length_a 6.5107
_cell_length_b 6.5107
_cell_length_c 5.6578
_cell_angle_alpha 90.00
_cell_angle_beta 90.00
_cell_angle_gamma 120.00
_space_group_name_H-M_alt 'P 6/m m m'
_space_group_IT_number 191
_space_group_name_Hall '-P 6 2'
loop_
_atom_site_label
_atom_site_fract_x
_atom_site_fract_y
_atom_site_fract_z
Na1 0.0000 0.0000 0.0000
Tm1 0.0000 0.5000 0.5000
Tm2 0.3333 0.6667 0.0000
```